# VMoPd2
Computed powder diffraction line list, CuKα. Input: DFT lattice parameters and positions (GGA-PBE).
Peak positions follow from Bragg's law for the DFT cell and can differ from measured ones.

Crystal structure
a b c (Å): 2.7472 2.7472 27.3867
angles (deg): 90.00 90.00 120.00
Space group R-3m (No. 166, hexagonal axes)
Asymmetric unit:
V (0.0000, 0.0000, 0.0000)
Mo (0.0000, 0.0000, 0.5000)
Pd (0.0000, 0.0000, 0.2527)

Top 8 peaks for 15 to 90 degrees two-theta, in order of falling intensity:
hkl 1 0 4, 40.12°, intensity 100.0; hkl 0 1 8, 46.48°, intensity 64.2; hkl 0 0 12, 39.49°, intensity 34.1; hkl 1 1 12, 81.85°, intensity 23.3; hkl 1 1 0, 68.28°, intensity 19.8; hkl 1 0 16, 67.40°, intensity 19.7; hkl 0 2 4, 82.26°, intensity 11.8; hkl 0 1 20, 81.02°, intensity 11.4